Starting from DFT lattice parameters and positions (GGA+U), the X-ray diffraction stick pattern of Li2VOF4 was computed for Cu Kα (λ = 1.5418 Å).

Principal peaks in the range 15 to 90 degrees two-theta, most intense first:
| 2theta | I_rel |
| --- | --- |
| 22.5 | 100 |
| 18.4 | 39 |
| 29.7 | 26 |
| 22.2 | 22 |
| 39.5 | 20 |
| 51.6 | 18 |
| 50.3 | 13 |
| 42.7 | 12 |
| 42.1 | 12 |
| 24.6 | 10 |

Crystal structure
```
Li2VOF4
1.0
7.2257 0.0000 0.0000
0.0000 9.6220 0.0000
0.0000 0.0000 5.4292
Li V O F
8 4 4 16
Cartesian
0.3444 2.1195 0.0000
0.8386 8.9293 5.3547
2.7742 4.1183 2.6401
3.2685 6.9305 2.7146
3.9572 2.6915 0.0000
4.4515 5.5037 5.3547
6.3871 0.6927 2.6401
6.8813 7.5025 2.7146
1.4164 5.3018 5.3411
2.1964 0.4908 2.6265
5.0293 9.1312 5.3411
5.8093 4.3202 2.6265
1.1243 0.7631 1.3685
2.4886 5.5741 4.0831
4.7371 4.0478 1.3685
6.1014 8.8588 4.0831
0.1640 4.8609 1.6087
0.7295 7.0733 0.0917
0.9639 0.8342 4.0990
1.7425 8.1862 2.8446
1.8703 3.3752 0.1300
2.6489 5.6452 1.3844
2.8833 2.2623 2.8063
3.4489 0.0499 4.3233
3.7768 9.5721 1.6087
4.3424 7.3597 0.0917
4.5768 3.9768 4.0990
5.3554 6.2468 2.8446
5.4832 1.4358 0.1300
6.2618 8.7878 1.3844
6.4962 2.5487 2.8063
7.0617 4.7611 4.3233
```

---

Starting from DFT lattice parameters and positions (GGA+U), the X-ray diffraction stick pattern of TiNiP2O8 was computed for Cu Kα (λ = 1.5418 Å).

Principal peaks in the range 15 to 90 degrees two-theta, most intense first:
| 2theta | I_rel |
| --- | --- |
| 17.8 | 100 |
| 30.2 | 99 |
| 20.4 | 78 |
| 35.8 | 71 |
| 25.4 | 70 |
| 36.4 | 58 |
| 20.1 | 51 |
| 25.2 | 43 |
| 51.6 | 39 |
| 23.4 | 38 |

Crystal structure
```
TiNiP2O8
1.0
4.8875 0.0000 0.0000
0.0000 5.9104 0.0000
-0.2027 0.0000 9.9481
Ti Ni P O
2 2 4 16
Cartesian
0.0947 1.4776 2.2448
4.5901 4.4328 7.7034
2.1153 1.4776 7.2350
2.5695 4.4328 2.7131
0.2769 4.4328 0.9794
1.7968 4.4328 5.9372
2.8880 1.4776 4.0109
4.4079 1.4776 8.9687
0.5108 4.4328 9.4300
0.9693 3.2141 1.7108
0.9693 5.6515 1.7108
1.0525 3.2551 6.6886
1.0525 5.6105 6.6886
1.0222 1.4776 8.8758
1.3920 1.4776 3.6185
1.6066 4.4328 4.4528
3.0781 1.4776 5.4953
3.2928 4.4328 6.3296
3.6626 4.4328 1.0723
3.6323 0.2999 3.2595
3.6323 2.6553 3.2595
3.7155 0.2589 8.2373
3.7155 2.6963 8.2373
4.1740 1.4776 0.5181
```

---

Starting from DFT lattice parameters and positions (GGA+U), the X-ray diffraction stick pattern of MgVBO4 was computed for Cu Kα (λ = 1.5418 Å).

Principal peaks in the range 15 to 90 degrees two-theta, most intense first:
| 2theta | I_rel |
| --- | --- |
| 37.0 | 100 |
| 22.6 | 60 |
| 26.5 | 38 |
| 46.1 | 27 |
| 25.4 | 25 |
| 66.1 | 22 |
| 67.8 | 20 |
| 54.6 | 17 |
| 61.7 | 16 |
| 44.5 | 15 |

Crystal structure
```
MgVBO4
1.0
-2.3785 2.3785 3.5117
2.3785 -2.3785 3.5117
2.3785 2.3785 -3.5117
Mg V B O
1 1 1 4
Cartesian
0.0000 0.0000 0.0000
0.0000 0.0000 3.5117
0.0000 2.3785 1.7558
3.2339 0.8975 -0.9306
0.8975 1.5232 0.9306
-0.8553 1.4810 2.5810
1.4810 0.8553 4.4423
```

---

Starting from DFT lattice parameters and positions (GGA+U), the X-ray diffraction stick pattern of KSrCeWO6 was computed for Cu Kα (λ = 1.5418 Å).

Principal peaks in the range 15 to 90 degrees two-theta, most intense first:
| 2theta | I_rel |
| --- | --- |
| 29.7 | 100 |
| 52.8 | 40 |
| 20.9 | 35 |
| 42.6 | 31 |
| 85.5 | 21 |
| 61.8 | 19 |
| 70.0 | 18 |
| 47.9 | 15 |
| 66.0 | 7 |
| 77.9 | 6 |

Crystal structure
```
KSrCeWO6
1.0
0.0000 4.2487 4.2487
4.2487 0.0000 4.2487
4.2487 4.2487 0.0000
K Sr Ce W O
1 1 1 1 6
Cartesian
0.0000 0.0000 0.0000
4.2487 4.2487 4.2487
2.1244 2.1244 2.1244
6.3731 6.3731 6.3731
6.3731 6.3731 4.3996
6.3731 4.3996 6.3731
8.3466 6.3731 6.3731
4.3996 6.3731 6.3731
6.3731 8.3466 6.3731
6.3731 6.3731 8.3466
```

---

Starting from DFT lattice parameters and positions (GGA+U), the X-ray diffraction stick pattern of Li9Co7O16 was computed for Cu Kα (λ = 1.5418 Å).

Principal peaks in the range 15 to 90 degrees two-theta, most intense first:
| 2theta | I_rel |
| --- | --- |
| 18.4 | 100 |
| 43.2 | 28 |
| 43.4 | 28 |
| 44.4 | 26 |
| 35.8 | 15 |
| 35.9 | 14 |
| 36.6 | 12 |
| 47.8 | 9 |
| 37.6 | 8 |
| 62.8 | 8 |

Crystal structure
```
Li9Co7O16
1.0
5.7965 0.0000 0.0000
-2.8591 5.1380 0.0000
-0.1958 -1.6737 9.5643
Li Co O
9 7 16
Cartesian
0.0000 0.0000 0.0000
-1.4296 2.5690 0.0000
-0.1357 0.0082 7.1796
-1.5131 4.3001 4.7796
-0.0168 3.4466 2.3818
1.4687 2.5690 0.0000
2.7584 0.0177 7.1826
4.2547 -0.8357 4.7847
2.8773 3.4562 2.3847
-1.5931 2.6244 7.2299
-0.0799 1.7039 4.7827
1.3923 0.8413 2.3252
2.8983 0.0000 0.0000
1.3493 2.6230 7.2391
2.8215 1.7604 4.7817
4.3348 0.8400 2.3344
-1.4507 2.4977 3.6312
-0.0599 0.0636 3.5515
-0.0032 1.6620 1.3325
-1.3083 4.4209 1.1255
1.3912 -0.9482 8.4165
-0.1538 1.8786 8.4429
-0.0901 3.3386 6.0657
1.2948 0.9728 5.9353
1.4468 2.4916 3.6290
2.8317 0.1258 3.4986
2.8954 1.5858 1.1214
1.3504 4.4125 1.1478
4.0499 -0.9566 8.4389
2.7448 1.8024 8.2319
2.8015 3.4008 6.0128
4.1923 0.9666 5.9331
```

---

Starting from DFT lattice parameters and positions (GGA+U), the X-ray diffraction stick pattern of Mn7F16 was computed for Cu Kα (λ = 1.5418 Å).

Principal peaks in the range 15 to 90 degrees two-theta, most intense first:
| 2theta | I_rel |
| --- | --- |
| 29.0 | 100 |
| 49.6 | 40 |
| 48.0 | 36 |
| 30.2 | 26 |
| 20.6 | 25 |
| 57.8 | 24 |
| 22.9 | 21 |
| 59.2 | 16 |
| 17.0 | 15 |
| 45.5 | 11 |

Crystal structure
```
Mn7F16
1.0
3.2820 1.8949 8.8694
-3.2820 1.8949 8.8694
0.0000 -3.7897 8.8694
Mn F
7 16
Cartesian
0.0000 0.0000 0.0000
-2.0838 -0.1937 11.8791
-0.8741 -1.9015 14.7292
1.2097 -1.7078 11.8791
-1.2097 1.7078 14.7292
0.8741 1.9015 11.8791
2.0838 0.1937 14.7292
-2.6443 0.5312 9.9405
-2.2780 -0.3852 14.0756
-0.8054 -2.1654 12.5327
-1.7822 -2.0245 16.6678
0.0000 0.0000 6.2872
0.8621 -2.5557 9.9405
-1.4726 1.7802 12.5327
0.0000 0.0000 11.2997
0.0000 0.0000 15.3086
1.4726 -1.7802 14.0756
-0.8621 2.5557 16.6678
0.0000 0.0000 20.3211
1.7822 2.0245 9.9405
0.8054 2.1654 14.0756
2.2780 0.3852 12.5327
2.6443 -0.5312 16.6678
```

---

Starting from DFT lattice parameters and positions (GGA+U), the X-ray diffraction stick pattern of Li3VPCO7 was computed for Cu Kα (λ = 1.5418 Å).

Principal peaks in the range 15 to 90 degrees two-theta, most intense first:
| 2theta | I_rel |
| --- | --- |
| 26.9 | 100 |
| 25.4 | 46 |
| 21.5 | 30 |
| 36.8 | 30 |
| 26.4 | 30 |
| 36.2 | 23 |
| 55.5 | 22 |
| 19.9 | 21 |
| 34.6 | 18 |
| 45.1 | 17 |

Crystal structure
```
Li3VPCO7
1.0
4.9856 0.0000 0.0000
0.7308 8.4793 0.0000
0.0780 0.1983 13.2408
Li V P C O
12 4 4 4 28
Cartesian
0.0000 0.0000 0.0000
0.2484 2.2912 10.1128
2.8562 6.8346 3.3428
2.4985 1.7554 11.8375
2.9408 6.8838 10.0644
2.5060 1.5491 1.4707
2.5529 1.5743 5.1363
5.3062 5.2833 1.8470
5.3460 5.2871 4.8032
5.3829 5.3963 11.4521
5.3855 5.3597 8.6337
5.7452 8.5465 6.6526
0.2681 1.9751 3.3696
2.6063 4.9217 6.6897
2.5775 4.8368 0.0645
2.5060 1.4742 8.4427
2.8918 4.1912 3.3785
2.9347 4.2850 10.0092
4.9467 2.6137 0.0413
4.9885 2.7235 6.7154
3.3169 7.4033 6.6796
3.2907 7.3298 0.0669
5.2774 7.9672 3.3945
5.4440 8.1211 9.8958
0.3818 1.8301 5.4968
0.5983 4.1437 6.6327
0.4539 1.9467 12.0721
0.5883 4.0328 0.0494
0.4260 1.7657 1.2690
0.4963 1.9146 7.9355
1.5512 8.2902 3.4053
1.7309 8.3557 9.8380
2.0615 7.0963 6.6634
2.0288 7.0077 0.0511
2.4414 5.1194 8.7853
2.4733 5.1758 11.2001
2.4281 5.0475 2.1698
2.2879 2.8763 10.0618
2.4593 5.0775 4.5845
2.2605 2.7812 3.4112
2.9757 0.1750 6.7236
2.9499 0.0809 0.0521
3.4184 2.8585 6.8211
3.3902 2.8050 0.0822
4.1979 6.4587 6.6538
3.6714 0.4552 3.4105
4.1618 6.3550 0.0918
3.8680 0.6284 9.8735
4.4786 4.1574 9.9947
4.4451 4.0130 3.3701
4.8890 6.7315 3.3696
4.9825 6.8993 10.0022
```

---

Starting from DFT lattice parameters and positions (GGA+U), the X-ray diffraction stick pattern of CrSbP2O8 was computed for Cu Kα (λ = 1.5418 Å).

Principal peaks in the range 15 to 90 degrees two-theta, most intense first:
| 2theta | I_rel |
| --- | --- |
| 16.4 | 100 |
| 25.6 | 91 |
| 24.4 | 63 |
| 30.3 | 63 |
| 33.0 | 61 |
| 19.1 | 44 |
| 35.6 | 34 |
| 29.8 | 20 |
| 53.0 | 17 |
| 17.1 | 17 |

Crystal structure
```
CrSbP2O8
1.0
4.9499 0.0000 0.0000
0.0000 5.8928 0.0000
-1.0569 0.0000 10.8392
Cr Sb P O
2 2 4 16
Cartesian
0.0422 1.4732 3.2326
3.8508 4.4196 7.6066
1.4430 1.4732 8.3057
2.4499 4.4196 2.5335
0.1349 4.4196 4.6349
0.9558 4.4196 9.5135
2.9372 1.4732 1.3257
3.7580 1.4732 6.2043
0.2517 4.4196 6.1564
0.3051 1.4732 6.5985
0.1376 3.2246 8.7959
0.1376 5.6146 8.7959
0.8741 3.1844 3.9935
0.8741 5.6548 3.9935
1.4895 1.4732 1.8276
1.8542 4.4196 0.1613
2.0387 1.4732 10.6779
2.4034 4.4196 9.0116
3.0188 0.2380 6.8457
3.0188 2.7084 6.8457
3.7553 0.2782 2.0433
3.7553 2.6682 2.0433
3.5879 4.4196 4.2406
3.6412 1.4732 4.6827
```

---

Starting from DFT lattice parameters and positions (GGA+U), the X-ray diffraction stick pattern of K2MgFe4P6O16F12 was computed for Cu Kα (λ = 1.5418 Å).

Principal peaks in the range 15 to 90 degrees two-theta, most intense first:
| 2theta | I_rel |
| --- | --- |
| 25.7 | 100 |
| 27.3 | 72 |
| 26.9 | 66 |
| 26.1 | 52 |
| 26.8 | 44 |
| 25.1 | 22 |
| 42.4 | 22 |
| 16.3 | 22 |
| 33.2 | 21 |
| 52.8 | 18 |

Crystal structure
```
K2MgFe4P6O16F12
1.0
7.6299 0.0000 0.0000
0.0472 7.6478 0.0000
2.2114 3.7915 10.0123
K Mg Fe P O F
2 1 4 6 16 12
Cartesian
0.0000 0.0000 0.0000
1.8244 2.3267 3.8183
5.8663 6.8833 6.9179
2.0424 6.8958 6.9228
4.8941 9.0005 8.7208
4.7404 4.9678 1.9187
6.8014 4.7675 5.1037
2.0221 5.8929 3.7601
3.9829 4.2010 6.9865
3.8103 2.2466 0.2472
5.6873 7.7016 3.5756
7.7198 9.5734 6.8292
7.4757 4.0928 0.0842
3.2313 8.8147 9.9128
2.7850 5.0835 7.3248
2.4652 6.7113 4.9687
3.1453 5.1667 3.0485
4.2477 3.2055 8.0866
5.6534 6.7458 8.9988
5.2074 4.9923 6.5095
4.1413 3.0096 1.4871
5.3321 6.9261 2.3512
6.5058 8.7723 7.3115
6.0868 7.0030 4.8331
7.3963 2.8892 5.7041
6.3318 4.7989 0.7846
9.2642 7.0793 8.8716
8.9406 8.7076 6.5199
8.4767 4.9704 3.9790
0.3274 2.9405 1.1135
1.5213 7.0290 2.7238
3.5510 3.3522 5.7043
3.9537 7.6812 7.1496
2.6591 1.2410 0.6322
4.5624 8.7392 3.9048
3.7972 5.6350 0.3541
5.6742 4.2728 3.4722
7.1508 4.9966 9.9542
6.8242 8.7083 3.1567
7.7774 6.0998 6.7064
8.1303 10.4523 8.1002
```